MgV4As2O13: computed XRD peak list (Cu Kα X-rays), based on the PBE+U geometry in the Materials Project.
Kinematic intensities with the Lorentz-polarization factor, no thermal factor.

Atomic structure:
abc: 5.0851 5.2829 9.0859
angles: 91.94 99.27 101.56
Element x y z (fractional)
Mg 0.0000 0.0000 0.0000
V 0.0983 0.8077 0.2966
V 0.2456 0.5588 0.9225
V 0.3850 0.3315 0.5275
V 0.5448 0.1278 0.8402
As 0.6355 0.2634 0.2096
As 0.8809 0.8554 0.6301
O 0.0677 0.0019 0.5000
O 0.1034 0.8667 0.7998
O 0.1758 0.7371 0.1023
O 0.2429 0.5464 0.4266
O 0.3508 0.3635 0.7394
O 0.4133 0.2500 0.0340
O 0.4477 0.1214 0.3407
O 0.5880 0.8278 0.9200
O 0.6195 0.0184 0.6416
O 0.7322 0.5853 0.2569
O 0.7618 0.5384 0.5732
O 0.8932 0.1059 0.1948
O 0.8949 0.3124 0.9001

Most intense lines, 10° ≤ 2θ ≤ 90°, by angle:
2θ (°)	d [Å]	I (rel.)
25.17	3.538	93
27.56	3.236	100
28.62	3.119	77
29.23	3.056	37
29.96	2.982	40
32.35	2.768	35